Computed powder diffractogram
Compound: BaSrPrSbO6
Radiation: Cu Kα (weighted mean of Kα1 and Kα2)
Structure: a crystal structure in the Materials Project, relaxed with PBE

Most intense lines, 2θ from 10° to 90°, low angle first:
two_theta  Rel. int.
20.63  33
29.33  1000
41.97  283
47.20  12
52.02  433
60.85  169
68.94  122
69.02  61
76.66  54
84.12  223

Crystal structure
```
40
Lattice="8.6055 0.0000 0.0000 0.0000 8.6101 0.0000 0.0000 0.0000 8.6192" Properties=species:S:1:pos:R:3 pbc="T T T"
Ba 0.0000 0.0000 0.0000
Ba 0.0000 0.0000 4.3096
Ba 4.3028 0.0000 0.0000
Ba 4.3028 4.3051 4.3096
Sr 0.0000 4.3051 0.0000
Sr 0.0000 4.3051 4.3096
Sr 4.3028 0.0000 4.3096
Sr 4.3028 4.3051 0.0000
Pr 2.1602 2.1711 6.4600
Pr 2.1602 6.4391 2.1592
Pr 6.4453 2.1711 2.1592
Pr 6.4453 6.4391 6.4600
Sb 2.1477 2.1855 2.1617
Sb 2.1477 6.4246 6.4575
Sb 6.4579 2.1855 6.4575
Sb 6.4579 6.4246 2.1617
O 0.1601 1.9416 2.3958
O 0.1601 6.6685 6.2234
O 1.8635 2.4568 0.1703
O 1.8635 6.1533 8.4489
O 1.8747 4.1469 2.5047
O 1.8747 4.4632 6.1145
O 2.3560 0.1811 1.9088
O 2.3560 8.4290 6.7104
O 2.4915 1.8874 4.1380
O 2.4915 6.7227 4.4812
O 4.1245 2.4815 1.8545
O 4.1245 6.1286 6.7647
O 4.4811 2.4815 6.7647
O 4.4811 6.1286 1.8545
O 6.1141 1.8874 4.4812
O 6.1141 6.7227 4.1380
O 6.2495 0.1811 6.7104
O 6.2495 8.4290 1.9088
O 6.7308 4.1469 6.1145
O 6.7308 4.4632 2.5047
O 6.7420 2.4568 8.4489
O 6.7420 6.1533 0.1703
O 8.4455 1.9416 6.2234
O 8.4455 6.6685 2.3958
```

=====

Computed powder diffractogram
Compound: BaSrPrSbO6
Radiation: Cu Kα (weighted mean of Kα1 and Kα2)
Structure: a crystal structure in the Materials Project, relaxed with PBE

Most intense lines, 2θ from 10° to 90°, low angle first:
two_theta  Rel. int.
17.74  21
20.52  39
29.18  1000
34.35  16
41.73  307
51.73  405
60.49  191
68.55  183
76.18  62
83.57  215

Crystal structure
```
10
Lattice="0.0000 4.3288 4.3288 4.3288 0.0000 4.3288 4.3288 4.3288 0.0000" Properties=species:S:1:pos:R:3 pbc="T T T"
Ba 0.0000 0.0000 0.0000
Sr 4.3288 4.3288 4.3288
Pr 2.1644 2.1644 2.1644
Sb 6.4932 6.4932 6.4932
O 6.4932 6.4932 4.4864
O 6.4932 4.4864 6.4932
O 8.4999 6.4932 6.4932
O 4.4864 6.4932 6.4932
O 6.4932 8.4999 6.4932
O 6.4932 6.4932 8.4999
```

=====

Computed powder diffractogram
Compound: BaSrPrSbO6
Radiation: Cu Kα (weighted mean of Kα1 and Kα2)
Structure: a crystal structure in the Materials Project, relaxed with PBE

Most intense lines, 2θ from 10° to 90°, low angle first:
two_theta  Rel. int.
29.30  1000
29.40  667
29.50  326
42.01  549
51.93  283
52.01  204
52.19  215
52.32  143
60.99  106
68.92  137

Crystal structure
```
20
Lattice="6.0742 0.0000 0.0000 -0.0079 6.0974 0.0000 -0.0582 -0.0394 8.5970" Properties=species:S:1:pos:R:3 pbc="T T T"
Ba 0.0157 0.1283 2.1497
Ba 5.9923 5.9298 6.4473
Sr 2.9755 3.2336 2.1709
Sr 3.0325 2.8244 6.4261
Pr -0.0330 3.0290 4.2985
Pr 3.0371 0.0000 0.0000
Sb -0.0040 3.0487 0.0000
Sb 3.0080 -0.0197 4.2985
O 0.4465 3.0442 6.6267
O 1.2093 4.6350 0.3108
O 1.4145 4.8570 4.0582
O 1.5883 1.8463 0.3771
O 1.8474 1.6172 3.9364
O 2.6298 0.1842 6.2736
O 3.3782 5.8738 2.3234
O 4.1606 4.4408 4.6606
O 4.4198 4.2117 8.2199
O 4.5936 1.2010 4.5388
O 4.7988 1.4230 8.2862
O 5.5616 3.0138 1.9703
```

=====

Computed powder diffractogram
Compound: BaPr2Sc2O7
Radiation: Cu Kα (weighted mean of Kα1 and Kα2)
Structure: a crystal structure in the Materials Project, relaxed with PBE

Most intense lines, 2θ from 10° to 90°, low angle first:
two_theta  Rel. int.
21.86  164
25.91  98
30.54  1000
40.43  163
43.66  210
53.63  80
54.23  237
54.37  91
63.62  69
72.04  91

Crystal structure
```
48
Lattice="5.8640 0.0000 0.0000 0.0000 5.8640 0.0000 0.0000 0.0000 20.6327" Properties=species:S:1:pos:R:3 pbc="T T T"
Ba 1.3987 1.3987 0.0000
Ba 1.5333 4.3307 10.3164
Ba 4.3307 1.5333 10.3164
Ba 4.4653 4.4653 0.0000
Pr 1.3246 1.3246 3.8014
Pr 1.3246 1.3246 16.8313
Pr 1.6074 4.2567 6.5150
Pr 1.6074 4.2567 14.1178
Pr 4.2567 1.6074 6.5150
Pr 4.2567 1.6074 14.1178
Pr 4.5394 4.5394 3.8014
Pr 4.5394 4.5394 16.8313
Sc 1.4229 1.4229 8.2307
Sc 1.4229 1.4229 12.4020
Sc 1.5091 4.3549 2.0856
Sc 1.5091 4.3549 18.5471
Sc 4.3549 1.5091 2.0856
Sc 4.3549 1.5091 18.5471
Sc 4.4411 4.4411 8.2307
Sc 4.4411 4.4411 12.4020
O 0.0000 0.0000 1.9331
O 0.0000 0.0000 7.6685
O 0.0000 0.0000 12.9642
O 0.0000 0.0000 18.6996
O 0.0000 2.9320 2.3363
O 0.0000 2.9320 7.9801
O 0.0000 2.9320 12.6526
O 0.0000 2.9320 18.2965
O 1.0999 4.7641 4.3142
O 1.0999 4.7641 16.3185
O 1.2713 1.2713 10.3164
O 1.6607 4.2033 0.0000
O 1.8321 1.8321 6.0021
O 1.8321 1.8321 14.6306
O 2.9320 0.0000 2.3363
O 2.9320 0.0000 7.9801
O 2.9320 0.0000 12.6526
O 2.9320 0.0000 18.2965
O 2.9320 2.9320 2.6478
O 2.9320 2.9320 8.3833
O 2.9320 2.9320 12.2494
O 2.9320 2.9320 17.9849
O 4.0319 4.0319 6.0021
O 4.0319 4.0319 14.6306
O 4.2033 1.6607 0.0000
O 4.5927 4.5927 10.3164
O 4.7641 1.0999 4.3142
O 4.7641 1.0999 16.3185
```

=====

Computed powder diffractogram
Compound: Ba2PrSeO6
Radiation: Cu Kα (weighted mean of Kα1 and Kα2)
Structure: a crystal structure in the Materials Project, relaxed with PBE

Most intense lines, 2θ from 10° to 90°, low angle first:
two_theta  Rel. int.
17.86  23
29.38  1000
34.59  28
36.18  34
42.02  300
52.10  404
60.94  186
69.08  184
76.79  61
84.26  218

Crystal structure
```
40
Lattice="8.5999 0.0000 0.0000 0.0000 8.5999 0.0000 0.0000 0.0000 8.5999" Properties=species:S:1:pos:R:3 pbc="T T T"
Ba 2.1500 2.1500 2.1500
Ba 2.1500 2.1500 6.4500
Ba 2.1500 6.4500 2.1500
Ba 2.1500 6.4500 6.4500
Ba 6.4500 2.1500 2.1500
Ba 6.4500 2.1500 6.4500
Ba 6.4500 6.4500 2.1500
Ba 6.4500 6.4500 6.4500
Pr 0.0000 0.0000 0.0000
Pr 0.0000 4.3000 4.3000
Pr 4.3000 0.0000 4.3000
Pr 4.3000 4.3000 0.0000
Se 0.0000 0.0000 4.3000
Se 0.0000 4.3000 0.0000
Se 4.3000 0.0000 0.0000
Se 4.3000 4.3000 4.3000
O 0.0897 1.9694 4.3858
O 0.0897 2.3306 8.5141
O 0.0858 4.3897 6.6306
O 0.0858 8.5102 6.2693
O 1.9694 4.3858 0.0897
O 1.9694 8.5141 4.2102
O 2.3306 4.3858 4.2102
O 2.3306 8.5141 0.0897
O 4.2102 1.9694 8.5141
O 4.2102 2.3306 4.3858
O 4.2142 4.3897 6.2693
O 4.2142 8.5102 6.6306
O 4.3858 0.0897 1.9694
O 4.3858 4.2102 2.3306
O 4.3897 6.2693 4.2142
O 4.3897 6.6306 0.0858
O 6.2693 0.0858 8.5102
O 6.2693 4.2142 4.3897
O 6.6306 0.0858 4.3897
O 6.6306 4.2142 8.5102
O 8.5141 0.0897 2.3306
O 8.5141 4.2102 1.9694
O 8.5102 6.2693 0.0858
O 8.5102 6.6306 4.2142
```

=====

Computed powder diffractogram
Compound: Ba2PrSeO6
Radiation: Cu Kα (weighted mean of Kα1 and Kα2)
Structure: a crystal structure in the Materials Project, relaxed with PBE

Most intense lines, 2θ from 10° to 90°, low angle first:
two_theta  Rel. int.
17.88  23
29.40  1000
34.62  28
36.21  35
42.06  302
52.14  401
60.99  188
69.14  184
76.86  62
84.34  217

Crystal structure
```
10
Lattice="0.0000 4.2966 4.2966 4.2966 0.0000 4.2966 4.2966 4.2966 0.0000" Properties=species:S:1:pos:R:3 pbc="T T T"
Ba 2.1483 2.1483 2.1483
Ba 6.4449 6.4449 6.4449
Pr 0.0000 0.0000 0.0000
Se 4.2966 4.2966 4.2966
O 4.2966 4.2966 2.3296
O 4.2966 2.3296 4.2966
O 6.2637 4.2966 4.2966
O 2.3296 4.2966 4.2966
O 4.2966 6.2637 4.2966
O 4.2966 4.2966 6.2637
```

=====

Computed powder diffractogram
Compound: Ba2PrTaO6
Radiation: Cu Kα (weighted mean of Kα1 and Kα2)
Structure: a crystal structure in the Materials Project, relaxed with PBE

Most intense lines, 2θ from 10° to 90°, low angle first:
two_theta  Rel. int.
17.59  17
20.33  34
28.91  1000
41.35  285
51.24  411
59.90  181
67.86  186
75.39  60
82.67  219
89.83  29

Crystal structure
```
10
Lattice="0.0000 4.3674 4.3674 4.3674 0.0000 4.3674 4.3674 4.3674 0.0000" Properties=species:S:1:pos:R:3 pbc="T T T"
Ba 2.1837 2.1837 2.1837
Ba 6.5512 6.5512 6.5512
Pr 0.0000 0.0000 0.0000
Ta 4.3674 4.3674 4.3674
O 4.3674 4.3674 2.3556
O 4.3674 2.3556 4.3674
O 6.3793 4.3674 4.3674
O 2.3556 4.3674 4.3674
O 4.3674 6.3793 4.3674
O 4.3674 4.3674 6.3793
```

=====

Computed powder diffractogram
Compound: Ba2PrTaO6
Radiation: Cu Kα (weighted mean of Kα1 and Kα2)
Structure: a crystal structure in the Materials Project, relaxed with PBE

Most intense lines, 2θ from 10° to 90°, low angle first:
two_theta  Rel. int.
28.90  325
29.05  1000
29.13  666
41.48  369
41.71  176
51.41  225
51.59  272
51.67  207
60.38  171
83.35  141

Crystal structure
```
10
Lattice="5.3074 -3.0678 0.0000 5.3074 3.0678 0.0000 -3.5717 0.0000 5.0433" Properties=species:S:1:pos:R:3 pbc="T T T"
Ba 1.7659 0.0000 1.2343
Ba 5.2771 0.0000 3.8090
Pr -1.7858 0.0000 2.5216
Ta 5.3074 0.0000 0.0000
O 4.2701 1.4192 0.9866
O 0.3408 0.0000 3.5872
O 2.7730 1.4192 4.0567
O 4.2701 -1.4192 0.9866
O 6.7022 0.0000 1.4561
O 2.7730 -1.4192 4.0567
```

=====

Computed powder diffractogram
Compound: Ba2TbPrO6
Radiation: Cu Kα (weighted mean of Kα1 and Kα2)
Structure: a crystal structure in the Materials Project, relaxed with PBE

Most intense lines, 2θ from 10° to 90°, low angle first:
two_theta  Rel. int.
19.72  19
28.03  1000
40.06  281
45.03  8
49.60  447
57.94  175
65.57  186
72.77  56
79.69  226
86.47  26

Crystal structure
```
40
Lattice="9.0040 0.0000 0.0000 0.0000 9.0040 0.0000 0.0000 0.0000 9.0040" Properties=species:S:1:pos:R:3 pbc="T T T"
Ba 2.2510 2.2510 2.2510
Ba 2.2510 2.2510 6.7530
Ba 2.2510 6.7530 2.2510
Ba 2.2510 6.7530 6.7530
Ba 6.7530 2.2510 2.2510
Ba 6.7530 2.2510 6.7530
Ba 6.7530 6.7530 2.2510
Ba 6.7530 6.7530 6.7530
Tb 0.0000 0.0000 0.0000
Tb 0.0000 4.5020 4.5020
Tb 4.5020 0.0000 4.5020
Tb 4.5020 4.5020 0.0000
Pr 0.0000 0.0000 4.5020
Pr 0.0000 4.5020 0.0000
Pr 4.5020 0.0000 0.0000
Pr 4.5020 4.5020 4.5020
O 0.2650 4.8048 6.7092
O 0.2650 8.7012 6.7967
O 0.3028 2.2073 8.7390
O 0.3028 2.2947 4.7670
O 2.2073 4.7670 4.1992
O 2.2073 8.7390 0.3028
O 2.2947 4.7670 0.3028
O 2.2947 8.7390 4.1992
O 4.1992 2.2073 4.7670
O 4.1992 2.2947 8.7390
O 4.2370 4.8048 6.7967
O 4.2370 8.7012 6.7092
O 4.7670 0.3028 2.2947
O 4.7670 4.1992 2.2073
O 4.8048 6.7092 0.2650
O 4.8048 6.7967 4.2370
O 6.7092 0.2650 4.8048
O 6.7092 4.2370 8.7012
O 6.7967 0.2650 8.7012
O 6.7967 4.2370 4.8048
O 8.7012 6.7092 4.2370
O 8.7012 6.7967 0.2650
O 8.7390 0.3028 2.2073
O 8.7390 4.1992 2.2947
```

=====

Computed powder diffractogram
Compound: Ba2TbPrO6
Radiation: Cu Kα (weighted mean of Kα1 and Kα2)
Structure: a crystal structure in the Materials Project, relaxed with PBE

Most intense lines, 2θ from 10° to 90°, low angle first:
two_theta  Rel. int.
19.68  22
27.97  1000
39.96  299
44.92  9
49.48  422
57.80  193
65.41  186
72.58  64
79.48  218
86.23  31

Crystal structure
```
10
Lattice="0.0000 4.5120 4.5120 4.5120 0.0000 4.5120 4.5120 4.5120 0.0000" Properties=species:S:1:pos:R:3 pbc="T T T"
Ba 2.2560 2.2560 2.2560
Ba 6.7680 6.7680 6.7680
Tb 0.0000 0.0000 0.0000
Pr 4.5120 4.5120 4.5120
O 4.5120 4.5120 2.2158
O 4.5120 2.2158 4.5120
O 6.8082 4.5120 4.5120
O 2.2158 4.5120 4.5120
O 4.5120 6.8082 4.5120
O 4.5120 4.5120 6.8082
```

=====

Please write out number 7 again, unchanged.
Computed powder diffractogram
Compound: Ba2PrTaO6
Radiation: Cu Kα (weighted mean of Kα1 and Kα2)
Structure: a crystal structure in the Materials Project, relaxed with PBE

Most intense lines, 2θ from 10° to 90°, low angle first:
two_theta  Rel. int.
17.59  17
20.33  34
28.91  1000
41.35  285
51.24  411
59.90  181
67.86  186
75.39  60
82.67  219
89.83  29

Crystal structure
```
10
Lattice="0.0000 4.3674 4.3674 4.3674 0.0000 4.3674 4.3674 4.3674 0.0000" Properties=species:S:1:pos:R:3 pbc="T T T"
Ba 2.1837 2.1837 2.1837
Ba 6.5512 6.5512 6.5512
Pr 0.0000 0.0000 0.0000
Ta 4.3674 4.3674 4.3674
O 4.3674 4.3674 2.3556
O 4.3674 2.3556 4.3674
O 6.3793 4.3674 4.3674
O 2.3556 4.3674 4.3674
O 4.3674 6.3793 4.3674
O 4.3674 4.3674 6.3793
```